Entry 1:
Simulated powder diffraction line list of NaV2F11 for Cu Kα, 1.54184 Å, from a PBE+U-relaxed structure.

Structural model:
```
NaV2F11
1.0
-4.4554 4.5545 5.1884
4.4554 -4.5545 5.1884
4.4554 4.5545 -5.1884
Na V F
2 4 22
direct
0.2500 0.2500 0.0000 Na
0.7500 0.7500 0.0000 Na
0.1537 0.6592 0.8128 V
0.3463 0.1592 0.5055 V
0.6537 0.8408 0.4945 V
0.8463 0.3408 0.1872 V
0.0000 0.5000 0.5000 F
0.0722 0.3633 0.1914 F
0.1234 0.4311 0.8024 F
0.1288 0.9311 0.3077 F
0.1719 0.8808 0.8086 F
0.2099 0.2956 0.5055 F
0.2901 0.7956 0.0858 F
0.3281 0.1367 0.7088 F
0.3712 0.6790 0.8024 F
0.3766 0.1790 0.3077 F
0.4278 0.6192 0.2912 F
0.5000 0.0000 0.5000 F
0.5722 0.3808 0.7088 F
0.6234 0.8210 0.6923 F
0.6288 0.3210 0.1976 F
0.6719 0.8633 0.2912 F
0.7099 0.2044 0.9142 F
0.7901 0.7044 0.4945 F
0.8281 0.1192 0.1914 F
0.8712 0.0689 0.6923 F
0.8766 0.5689 0.1976 F
0.9278 0.6367 0.8086 F
```

Peak list (6 most intense, 5 to 70 degrees two-theta, in order of rising 2θ)
2θ = 17.1°, rel. 1000; 2θ = 22.1°, rel. 646; 2θ = 23.6°, rel. 816; 2θ = 23.8°, rel. 687; 2θ = 45.1°, rel. 602; 2θ = 46.2°, rel. 336

Entry 2:
Simulated powder diffraction line list of Na2VF5 for Cu Kα, 1.54184 Å, from a PBE+U-relaxed structure.

Structural model:
```
Na2VF5
1.0
7.5837 0.0000 0.0000
0.0000 5.4014 0.0000
-3.4414 0.0000 10.6274
Na V F
8 4 20
direct
0.1488 0.0018 0.3640 Na
0.1488 0.4982 0.8640 Na
0.3488 0.5542 0.1822 Na
0.3488 0.9458 0.6822 Na
0.6512 0.0542 0.3177 Na
0.6512 0.4458 0.8178 Na
0.8512 0.5018 0.1360 Na
0.8512 0.9982 0.6360 Na
0.0000 0.0000 0.0000 V
0.0000 0.5000 0.5000 V
0.5000 0.0000 0.0000 V
0.5000 0.5000 0.5000 V
0.0486 0.6563 0.6659 F
0.0486 0.8437 0.1659 F
0.1072 0.1906 0.5766 F
0.1072 0.3094 0.0766 F
0.2513 0.6463 0.5035 F
0.2513 0.8537 0.0035 F
0.3832 0.2272 0.8638 F
0.3832 0.2728 0.3638 F
0.4811 0.7496 0.3711 F
0.4811 0.7504 0.8711 F
0.5189 0.2496 0.1289 F
0.5189 0.2504 0.6289 F
0.6168 0.7272 0.6362 F
0.6168 0.7728 0.1362 F
0.7487 0.1463 0.9965 F
0.7487 0.3537 0.4965 F
0.8928 0.6906 0.9234 F
0.8928 0.8094 0.4234 F
0.9514 0.1563 0.8341 F
0.9514 0.3437 0.3341 F
```

Peak list (6 most intense, 5 to 70 degrees two-theta, in order of rising 2θ)
2θ = 16.7°, rel. 584; 2θ = 18.4°, rel. 564; 2θ = 28.8°, rel. 1000; 2θ = 30.2°, rel. 868; 2θ = 48.0°, rel. 340; 2θ = 48.3°, rel. 482

Entry 3:
Simulated powder diffraction line list of NaV3F10 for Cu Kα, 1.54184 Å, from a PBE+U-relaxed structure.

Structural model:
```
NaV3F10
1.0
0.0000 7.9789 3.8070
6.6059 0.0000 3.8070
6.6059 7.9789 0.0000
Na V F
2 6 20
direct
0.0000 0.0000 0.0000 Na
0.2500 0.2500 0.2500 Na
0.2487 0.7473 0.2527 V
0.4982 0.4982 0.5018 V
0.4987 0.9973 0.5027 V
0.7473 0.2487 0.7513 V
0.7482 0.7482 0.7518 V
0.9973 0.4987 0.0013 V
0.0442 0.4518 0.4561 F
0.0439 0.8336 0.4620 F
0.1138 0.3815 0.1180 F
0.1320 0.8632 0.1362 F
0.2020 0.4123 0.7918 F
0.2021 0.7939 0.7982 F
0.3749 0.6212 0.3787 F
0.3815 0.1138 0.3868 F
0.4123 0.2020 0.5938 F
0.4518 0.0442 0.0479 F
0.4582 0.6562 0.0480 F
0.5895 0.7880 0.4164 F
0.6212 0.3749 0.6252 F
0.6248 0.8713 0.6288 F
0.6562 0.4582 0.8377 F
0.7880 0.5895 0.2061 F
0.7939 0.2021 0.2058 F
0.8336 0.0439 0.6605 F
0.8632 0.1320 0.8685 F
0.8713 0.6248 0.8751 F
```

Peak list (6 most intense, 5 to 70 degrees two-theta, in order of rising 2θ)
2θ = 22.3°, rel. 614; 2θ = 27.0°, rel. 1000; 2θ = 45.5°, rel. 226; 2θ = 47.7°, rel. 395; 2θ = 53.7°, rel. 240; 2θ = 68.0°, rel. 217

Entry 4:
Simulated powder diffraction line list of NaV3F9 for Cu Kα, 1.54184 Å, from a PBE+U-relaxed structure.

Structural model:
```
NaV3F9
1.0
7.6147 0.0000 0.0000
-3.8073 6.5945 0.0000
0.0000 0.0000 3.9687
Na V F
1 3 9
direct
0.0000 0.0000 0.0000 Na
0.0000 0.5000 0.5000 V
0.5000 0.0000 0.5000 V
0.5000 0.5000 0.5000 V
0.0000 0.5000 0.0000 F
0.1996 0.3991 0.5000 F
0.1996 0.8004 0.5000 F
0.3991 0.1996 0.5000 F
0.5000 0.0000 0.0000 F
0.5000 0.5000 0.0000 F
0.6009 0.8004 0.5000 F
0.8004 0.1996 0.5000 F
0.8004 0.6009 0.5000 F
```

Peak list (6 most intense, 5 to 70 degrees two-theta, in order of rising 2θ)
2θ = 13.4°, rel. 487; 2θ = 22.4°, rel. 575; 2θ = 27.0°, rel. 1000; 2θ = 45.7°, rel. 259; 2θ = 47.8°, rel. 514; 2θ = 68.3°, rel. 273

Entry 5:
Simulated powder diffraction line list of NaV3F7 for Cu Kα, 1.54184 Å, from a PBE+U-relaxed structure.

Structural model:
```
NaV3F7
1.0
-3.6367 5.3953 3.7394
3.6367 -5.3953 3.7394
3.6367 5.3953 -3.7394
Na V F
2 6 14
direct
0.5000 0.0000 0.0000 Na
0.5000 0.5000 0.5000 Na
0.0000 0.0000 0.0000 V
0.0000 0.0000 0.5000 V
0.0000 0.5000 0.0000 V
0.0000 0.5000 0.5000 V
0.5000 0.0000 0.5000 V
0.5000 0.5000 0.0000 V
0.0618 0.2151 0.3757 F
0.0618 0.6861 0.8468 F
0.1092 0.8592 0.2500 F
0.3393 0.2151 0.6532 F
0.3393 0.6861 0.1243 F
0.3395 0.2472 0.0923 F
0.3450 0.7528 0.5923 F
0.6550 0.2472 0.4077 F
0.6605 0.7528 0.9077 F
0.6607 0.3139 0.8757 F
0.6607 0.7849 0.3468 F
0.8908 0.1408 0.7500 F
0.9382 0.3139 0.1532 F
0.9382 0.7849 0.6243 F
```

Peak list (6 most intense, 5 to 70 degrees two-theta, in order of rising 2θ)
2θ = 14.4°, rel. 243; 2θ = 29.1°, rel. 1000; 2θ = 29.6°, rel. 774; 2θ = 48.6°, rel. 914; 2θ = 50.2°, rel. 289; 2θ = 58.0°, rel. 322

Entry 6:
Simulated powder diffraction line list of Na5V3F12 for Cu Kα, 1.54184 Å, from a PBE+U-relaxed structure.

Structural model:
```
Na5V3F12
1.0
9.6390 0.0000 0.0000
-4.8195 8.3476 0.0000
0.0000 0.0000 3.2525
Na V F
5 3 12
direct
0.0000 0.2974 0.0000 Na
0.2974 0.0000 0.0000 Na
0.3333 0.6667 0.0000 Na
0.6667 0.3333 0.0000 Na
0.7026 0.7026 0.0000 Na
0.0000 0.6707 0.5000 V
0.3293 0.3293 0.5000 V
0.6707 0.0000 0.5000 V
0.0000 0.5365 0.0000 F
0.0000 0.8077 0.0000 F
0.1923 0.1923 0.0000 F
0.2018 0.4459 0.5000 F
0.2440 0.7982 0.5000 F
0.4459 0.2018 0.5000 F
0.4635 0.4635 0.0000 F
0.5365 0.0000 0.0000 F
0.5541 0.7560 0.5000 F
0.7560 0.5541 0.5000 F
0.7982 0.2440 0.5000 F
0.8077 0.0000 0.0000 F
```

Peak list (6 most intense, 5 to 70 degrees two-theta, in order of rising 2θ)
2θ = 18.4°, rel. 1000; 2θ = 32.2°, rel. 449; 2θ = 33.2°, rel. 575; 2θ = 39.8°, rel. 580; 2θ = 46.9°, rel. 698; 2θ = 58.0°, rel. 475

Entry 7:
Simulated powder diffraction line list of Na2VF5 for Cu Kα, 1.54184 Å, from a PBE+U-relaxed structure.

Structural model:
```
Na2VF5
1.0
5.8463 -2.7406 0.0000
5.8463 2.7406 0.0000
-2.9111 0.0000 7.0039
Na V F
4 2 10
direct
0.1351 0.1504 0.2640 Na
0.1504 0.1351 0.7640 Na
0.8496 0.8649 0.2360 Na
0.8649 0.8496 0.7360 Na
0.5000 0.5000 0.0000 V
0.5000 0.5000 0.5000 V
0.1205 0.7266 0.0335 F
0.1920 0.4827 0.3693 F
0.2734 0.8795 0.4665 F
0.3469 0.6531 0.7500 F
0.4827 0.1920 0.8693 F
0.5173 0.8080 0.1307 F
0.6531 0.3469 0.2500 F
0.7266 0.1205 0.5335 F
0.8080 0.5173 0.6307 F
0.8795 0.2734 0.9665 F
```

Peak list (6 most intense, 5 to 70 degrees two-theta, in order of rising 2θ)
2θ = 16.4°, rel. 1000; 2θ = 18.2°, rel. 413; 2θ = 24.4°, rel. 533; 2θ = 28.7°, rel. 887; 2θ = 29.7°, rel. 668; 2θ = 47.3°, rel. 468

Entry 8:
Simulated powder diffraction line list of NaWF4 for Cu Kα, 1.54184 Å, from a PBE+U-relaxed structure.

Structural model:
```
NaWF4
1.0
3.5871 -3.6919 0.0000
3.5871 3.6919 0.0000
0.0000 0.0000 3.4499
Na W F
1 1 4
direct
0.0000 0.0000 0.0000 Na
0.5000 0.5000 0.5000 W
0.2094 0.2094 0.5000 F
0.3247 0.6753 0.0000 F
0.6753 0.3247 0.0000 F
0.7906 0.7906 0.5000 F
```

Peak list (6 most intense, 5 to 70 degrees two-theta, in order of rising 2θ)
2θ = 17.2°, rel. 1000; 2θ = 24.1°, rel. 422; 2θ = 24.8°, rel. 352; 2θ = 31.2°, rel. 554; 2θ = 35.6°, rel. 300; 2θ = 47.1°, rel. 307